[1]
Structure and theoretical powder diffraction line list of Ba2PuCl4O2 (the GGA-PBE geometry in Alexandria; CuKα).

Atomic structure:
a = 6.996 Å, b = 6.996 Å, c = 5.163 Å
α = 99.18°, β = 99.18°, γ = 68.51°
Positions (direct):
Ba: 0.188 0.188 0.319
Ba: 0.812 0.812 0.681
Pu: 0.500 0.500 0.000
Cl: 0.114 0.666 0.215
Cl: 0.334 0.886 0.785
Cl: 0.666 0.114 0.215
Cl: 0.886 0.334 0.785
O: 0.363 0.363 0.719
O: 0.637 0.637 0.281

Most intense lines, 2θ = 10–90°, by angle:
2θ/deg, I (rel.)
13.69, 30.0
21.13, 49.0
22.58, 40.6
23.46, 97.4
26.13, 79.1
31.12, 100.0
36.65, 35.7
40.18, 32.9
41.92, 36.1
47.99, 22.6

[2]
Structure and theoretical powder diffraction line list of NaTb3Au4 (the GGA-PBE geometry in Alexandria; CuKα).

Atomic structure:
a = 8.805 Å, b = 8.805 Å, c = 8.805 Å
α = 33.47°, β = 33.47°, γ = 33.47°
Positions (direct):
Na: 0.000 0.000 0.000
Tb: 0.255 0.255 0.255
Tb: 0.500 0.500 0.500
Tb: 0.745 0.745 0.745
Au: 0.133 0.133 0.133
Au: 0.380 0.380 0.380
Au: 0.620 0.620 0.620
Au: 0.867 0.867 0.867

Most intense lines, 2θ = 10–90°, by angle:
2θ/deg, I (rel.)
10.65, 4.7
24.81, 6.1
35.37, 100.0
48.71, 5.2
50.89, 17.2
63.38, 6.8
63.54, 27.3
74.92, 6.0
85.52, 6.1
85.64, 8.0